Starting from the PBE+U geometry in the Materials Project, the powder X-ray diffraction pattern of CaLa2CoO6 was simulated for Cu Kα X-rays.
Neutral-atom scattering factors, no anomalous dispersion.

Cell and atoms:
```
data_CaLa2CoO6
_chemical_formula_sum 'Ca4 La8 Co4 O24'
_space_group_name_H-M_alt 'P -1'
_space_group_IT_number 2
_cell_length_a 5.5976
_cell_length_b 5.6530
_cell_length_c 19.0140
_cell_angle_alpha 83.23
_cell_angle_beta 83.64
_cell_angle_gamma 62.72
loop_
_space_group_symop_operation_xyz
'x,y,z'
'-x,-y,-z'
loop_
_atom_site_label
_atom_site_fract_x
_atom_site_fract_y
_atom_site_fract_z
Ca1 0.1226 0.1291 0.1261
Ca2 0.3750 0.3752 0.3752
La1 0.0503 0.0476 0.3108
La2 0.2016 0.1982 0.9400
La3 0.3010 0.2963 0.5603
La4 0.4461 0.4547 0.1906
Co1 0.0000 0.0000 0.5000
Co2 0.2511 0.2490 0.7497
Co3 0.5000 0.5000 0.0000
O1 0.0133 0.8367 0.1972
O2 0.0331 0.3777 0.6706
O3 0.0767 0.5991 0.7835
O4 0.1750 0.6484 0.4657
O5 0.2190 0.8727 0.5790
O6 0.2356 0.4211 0.0544
O7 0.2621 0.0853 0.4462
O8 0.2847 0.6251 0.9201
O9 0.3151 0.8716 0.0350
O10 0.4274 0.8989 0.7154
O11 0.4691 0.1213 0.8287
O12 0.4853 0.6655 0.3036
```

Principal peaks in the range 2θ = 10–90°, in order of rising 2θ:
(1 0 3), 22.1 deg, I 38.0
(1 -1 0), 30.5 deg, I 51.3
(1 0 -5), 30.7 deg, I 100.0
(1 2 1), 31.7 deg, I 47.9
(1 1 6), 32.0 deg, I 93.7
(0 2 6), 44.5 deg, I 26.9
(2 0 6), 45.1 deg, I 26.7
(3 1 -4), 55.4 deg, I 30.1



Starting from the PBE+U geometry in the Materials Project, the powder X-ray diffraction pattern of MgFeSb4O12 was simulated for Cu Kα X-rays.
Neutral-atom scattering factors, no anomalous dispersion.

Cell and atoms:
```
data_MgFeSb4O12
_chemical_formula_sum 'Mg1 Fe1 Sb4 O12'
_space_group_name_H-M_alt 'P 1'
_space_group_IT_number 1
_cell_length_a 5.2727
_cell_length_b 5.5304
_cell_length_c 7.6206
_cell_angle_alpha 86.61
_cell_angle_beta 89.90
_cell_angle_gamma 89.96
loop_
_space_group_symop_operation_xyz
'x,y,z'
loop_
_atom_site_label
_atom_site_fract_x
_atom_site_fract_y
_atom_site_fract_z
Mg1 0.0000 0.0000 0.0000
Fe1 0.0033 0.0057 0.5021
Sb1 0.0053 0.5836 0.2902
Sb2 0.4979 0.1017 0.7871
Sb3 0.5027 0.1052 0.2835
Sb4 0.9953 0.5776 0.7913
O1 0.1135 0.6286 0.5418
O2 0.1818 0.9208 0.2360
O3 0.1830 0.2775 0.8620
O4 0.2816 0.8123 0.8605
O5 0.3143 0.4090 0.2274
O6 0.3727 0.1038 0.5381
O7 0.6363 0.1062 0.0378
O8 0.6869 0.4048 0.7266
O9 0.7142 0.8120 0.3595
O10 0.8162 0.2821 0.3571
O11 0.8209 0.9162 0.7476
O12 0.8884 0.6308 0.0418
```

Principal peaks in the range 2θ = 10–90°, in order of rising 2θ:
(1 -1 0), 23.3 deg, I 100.0
(0 2 0), 32.4 deg, I 17.4
(1 1 2), 32.6 deg, I 36.8
(1 1 -2), 34.0 deg, I 29.2
(2 0 0), 34.0 deg, I 14.4
(2 2 0), 47.7 deg, I 16.9
(1 -3 0), 52.7 deg, I 11.5
(-2 2 2), 52.8 deg, I 17.3



Starting from the PBE+U geometry in the Materials Project, the powder X-ray diffraction pattern of Li7Mn5O12 was simulated for Cu Kα X-rays.
Neutral-atom scattering factors, no anomalous dispersion.

Cell and atoms:
```
data_Li7Mn5O12
_chemical_formula_sum 'Li14 Mn10 O24'
_space_group_name_H-M_alt 'P -1'
_space_group_IT_number 2
_cell_length_a 6.4605
_cell_length_b 7.7912
_cell_length_c 9.3041
_cell_angle_alpha 71.90
_cell_angle_beta 82.71
_cell_angle_gamma 89.76
loop_
_space_group_symop_operation_xyz
'x,y,z'
'-x,-y,-z'
loop_
_atom_site_label
_atom_site_fract_x
_atom_site_fract_y
_atom_site_fract_z
Li1 0.0000 0.0000 0.0000
Li2 0.0769 0.3306 0.0955
Li3 0.0938 0.8398 0.5808
Li4 0.2494 0.4997 0.7499
Li5 0.2500 0.9996 0.2502
Li6 0.4059 0.1600 0.9190
Li7 0.4224 0.6689 0.4042
Li8 0.5000 0.0000 0.5000
Mn1 0.0000 0.5000 0.5000
Mn2 0.1663 0.1647 0.6672
Mn3 0.1658 0.6702 0.1641
Mn4 0.3341 0.8344 0.8333
Mn5 0.3352 0.3299 0.3351
Mn6 0.5000 0.5000 0.0000
O1 0.0604 0.4243 0.2858
O2 0.0629 0.9222 0.7811
O3 0.1100 0.7492 0.3820
O4 0.1148 0.2420 0.8498
O5 0.2109 0.1041 0.4756
O6 0.2251 0.5894 0.9501
O7 0.2741 0.4102 0.5500
O8 0.2901 0.8960 0.0241
O9 0.3843 0.7573 0.6506
O10 0.3897 0.2510 0.1176
O11 0.4373 0.0772 0.7190
O12 0.4404 0.5763 0.2143
```

Principal peaks in the range 2θ = 10–90°, in order of rising 2θ:
(1 1 1), 18.4 deg, I 100.0
(-1 1 3), 33.9 deg, I 16.5
(2 -2 0), 36.4 deg, I 25.2
(0 2 4), 40.8 deg, I 35.7
(1 3 -1), 44.4 deg, I 28.0
(3 -1 1), 44.5 deg, I 27.8
(2 0 4), 47.0 deg, I 8.7
(-3 3 3), 61.7 deg, I 16.9



Starting from the PBE+U geometry in the Materials Project, the powder X-ray diffraction pattern of Co2OF3 was simulated for Cu Kα X-rays.
Neutral-atom scattering factors, no anomalous dispersion.

Cell and atoms:
```
data_Co2OF3
_chemical_formula_sum 'Co16 O8 F24'
_space_group_name_H-M_alt 'C m c m'
_space_group_IT_number 63
_space_group_name_Hall '-C 2c 2'
_cell_length_a 6.8324
_cell_length_b 6.4393
_cell_length_c 12.6874
_cell_angle_alpha 90.00
_cell_angle_beta 90.00
_cell_angle_gamma 90.00
loop_
_atom_site_label
_atom_site_fract_x
_atom_site_fract_y
_atom_site_fract_z
Co1 0.0000 0.0000 0.0000
Co2 0.0000 0.0202 0.2500
Co3 0.0000 0.4750 0.1245
O1 0.0000 0.1985 0.1224
F1 0.0000 0.2127 0.6258
F2 0.1951 0.4951 0.2500
F3 0.1950 0.5000 0.0000
```

Principal peaks in the range 2θ = 10–90°, in order of rising 2θ:
(2 0 0), 26.1 deg, I 87.9
(0 2 0), 27.7 deg, I 73.1
(1 1 4), 34.1 deg, I 100.0
(3 1 4), 51.4 deg, I 61.8
(1 3 4), 53.2 deg, I 43.1
(4 0 0), 53.7 deg, I 16.9
(0 0 8), 58.2 deg, I 17.6
(3 3 4), 66.8 deg, I 33.8



Starting from the PBE+U geometry in the Materials Project, the powder X-ray diffraction pattern of Mg4Mn9O13 was simulated for Cu Kα X-rays.
Neutral-atom scattering factors, no anomalous dispersion.

Cell and atoms:
```
data_Mg4Mn9O13
_chemical_formula_sum 'Mg12 Mn27 O39'
_space_group_name_H-M_alt 'R 3 m'
_space_group_IT_number 160
_space_group_name_Hall 'R 3 -2"'
_cell_length_a 3.1385
_cell_length_b 3.1385
_cell_length_c 100.2849
_cell_angle_alpha 90.00
_cell_angle_beta 90.00
_cell_angle_gamma 120.00
loop_
_atom_site_label
_atom_site_fract_x
_atom_site_fract_y
_atom_site_fract_z
Mg1 0.0000 0.0000 0.0000
Mg2 0.0000 0.0000 0.0755
Mg3 0.0000 0.0000 0.3844
Mg4 0.0000 0.0000 0.9228
Mn1 0.0000 0.0000 0.1532
Mn2 0.0000 0.0000 0.2312
Mn3 0.0000 0.0000 0.3078
Mn4 0.0000 0.0000 0.4604
Mn5 0.0000 0.0000 0.5385
Mn6 0.0000 0.0000 0.6146
Mn7 0.0000 0.0000 0.6922
Mn8 0.0000 0.0000 0.7675
Mn9 0.0000 0.0000 0.8458
O1 0.0000 0.0000 0.0391
O2 0.0000 0.0000 0.1140
O3 0.0000 0.0000 0.1921
O4 0.0000 0.0000 0.2680
O5 0.0000 0.0000 0.3454
O6 0.0000 0.0000 0.4208
O7 0.0000 0.0000 0.4995
O8 0.0000 0.0000 0.5777
O9 0.0000 0.0000 0.6546
O10 0.0000 0.0000 0.7300
O11 0.0000 0.0000 0.8069
O12 0.0000 0.0000 0.8848
O13 0.0000 0.0000 0.9612
```

Principal peaks in the range 2θ = 10–90°, in order of rising 2θ:
(0 0 39), 34.9 deg, I 11.9
(1 0 13), 35.0 deg, I 35.8
(0 1 26), 40.6 deg, I 100.0
(1 0 52), 58.7 deg, I 27.9
(1 1 0), 58.8 deg, I 29.4
(0 2 13), 70.3 deg, I 14.7
(2 0 26), 73.9 deg, I 13.1
(0 2 52), 87.9 deg, I 7.7



Starting from the PBE+U geometry in the Materials Project, the powder X-ray diffraction pattern of Rb3V5O14 was simulated for Cu Kα X-rays.
Neutral-atom scattering factors, no anomalous dispersion.

Cell and atoms:
```
data_Rb3V5O14
_chemical_formula_sum 'Rb3 V5 O14'
_space_group_name_H-M_alt 'P 3 1 m'
_space_group_IT_number 157
_cell_length_a 8.7987
_cell_length_b 8.7987
_cell_length_c 5.5544
_cell_angle_alpha 90.00
_cell_angle_beta 90.00
_cell_angle_gamma 120.00
loop_
_space_group_symop_operation_xyz
'x,y,z'
'-y,x-y,z'
'-x+y,-x,z'
'y,x,z'
'x-y,-y,z'
'-x,-x+y,z'
loop_
_atom_site_label
_atom_site_fract_x
_atom_site_fract_y
_atom_site_fract_z
Rb1 0.0000 0.6127 0.0000
V1 0.0000 0.2299 0.4963
V2 0.3333 0.6667 0.4791
O1 0.0000 0.2549 0.7887
O2 0.0000 0.8317 0.4380
O3 0.1693 0.4597 0.3703
O4 0.3333 0.6667 0.7782
```

Principal peaks in the range 2θ = 10–90°, in order of rising 2θ:
(2 -1 1), 25.8 deg, I 100.0
(2 0 1), 28.4 deg, I 31.3
(2 1 0), 31.1 deg, I 27.6
(0 0 2), 32.2 deg, I 20.2
(3 0 0), 35.3 deg, I 15.8
(3 1 0), 42.8 deg, I 13.0
(2 1 2), 45.4 deg, I 13.5
(5 -2 1), 55.1 deg, I 15.7